# 1
Starting from the GGA+U geometry in the Materials Project, the X-ray diffraction stick pattern of MgTeW3O12 was computed for Cu Kα (λ = 1.5418 Å).
Neutral-atom scattering factors, no anomalous dispersion.

Principal peaks in the range 2θ from 10° to 90°, in order of falling intensity:
2θ (°)  I/Imax
23.11  100.0
22.91  51.5
31.87  39.7
32.17  20.1
33.29  15.9
33.95  15.1
33.68  14.2
52.02  12.9

Structural model:
```
17
Lattice="5.2817 0.0000 0.0000 -0.0182 5.6316 0.0000 -0.1014 -0.4889 7.7642" Properties=species:S:1:pos:R:3 pbc="T T T"
Mg 0.0000 0.0000 0.0000
Te 5.1175 2.3282 2.1981
W 2.5244 5.0174 2.0812
W 2.5209 4.8279 5.9705
W 5.1804 2.0901 6.1043
O 0.3535 2.0888 0.2582
O 0.8869 3.9720 2.3449
O 1.0388 0.3234 5.8258
O 1.4398 3.1180 5.8001
O 1.7894 0.9083 2.6503
O 1.9518 5.1294 0.1837
O 2.9427 4.7531 4.1948
O 3.4860 3.2641 1.8289
O 3.7417 0.5507 6.4971
O 4.1707 0.2019 1.6141
O 4.1504 3.6305 6.6552
O 4.4503 2.0398 4.4855
```

***

# 2
Starting from the GGA+U geometry in the Materials Project, the X-ray diffraction stick pattern of PrFeAsO was computed for Cu Kα (λ = 1.5418 Å).
Neutral-atom scattering factors, no anomalous dispersion.

Principal peaks in the range 2θ from 10° to 90°, in order of falling intensity:
2θ (°)  I/Imax
29.11  100.0
53.84  35.5
44.24  32.9
50.48  28.6
36.61  21.7
30.88  21.0
32.40  20.4
36.46  15.4

Structural model:
```
8
Lattice="4.0949 0.0000 0.0000 0.0000 4.0949 0.0000 0.0000 0.0000 9.2587" Properties=species:S:1:pos:R:3 pbc="T T T"
Pr 1.0237 1.0237 1.1904
Pr 3.0712 3.0712 8.0683
Fe 1.0237 3.0712 4.6294
Fe 3.0712 1.0237 4.6294
As 1.0237 1.0237 6.2643
As 3.0712 3.0712 2.9944
O 1.0237 3.0712 0.0000
O 3.0712 1.0237 0.0000
```

***

# 3
Starting from the GGA+U geometry in the Materials Project, the X-ray diffraction stick pattern of Li2V2F7 was computed for Cu Kα (λ = 1.5418 Å).
Neutral-atom scattering factors, no anomalous dispersion.

Principal peaks in the range 2θ from 10° to 90°, in order of falling intensity:
2θ (°)  I/Imax
15.05  100.0
49.52  75.8
29.15  71.9
17.10  63.1
24.18  60.5
30.36  53.9
28.04  48.5
28.52  48.3

Structural model:
```
22
Lattice="-3.7822 5.2256 3.5628 3.7822 -5.2256 3.5628 3.7822 5.2256 -3.5628" Properties=species:S:1:pos:R:3 pbc="T T T"
Li 0.0000 0.0000 0.0000
Li -1.8911 2.6128 1.7814
Li 0.0000 5.2256 0.0000
Li 1.8911 2.6128 1.7814
V 1.8911 2.6128 -1.7814
V 1.8911 -2.6128 1.7814
V 3.7822 0.0000 0.0000
V 0.0000 0.0000 3.5628
F 2.2206 1.2804 -0.2938
F 5.3438 1.2804 -0.2938
F 3.7822 -2.6128 2.4385
F 0.0000 0.8506 1.6997
F 2.2206 3.9452 -0.2938
F 1.5616 -1.2804 3.2691
F 3.7822 0.8506 1.8631
F 0.0000 4.3751 1.6997
F 2.2206 6.5061 0.2938
F 1.5616 1.2804 3.8566
F 3.7822 4.3751 1.8631
F 0.0000 7.8385 1.1244
F -1.5616 3.9452 3.8566
F 1.5616 3.9452 3.8566
```

***

# 4
Starting from the GGA+U geometry in the Materials Project, the X-ray diffraction stick pattern of LaZnCrCuO6 was computed for Cu Kα (λ = 1.5418 Å).
Neutral-atom scattering factors, no anomalous dispersion.

Principal peaks in the range 2θ from 10° to 90°, in order of falling intensity:
2θ (°)  I/Imax
33.02  100.0
33.31  48.5
47.36  24.9
47.87  13.3
59.00  13.2
59.28  12.0
58.76  11.8
20.14  10.6

Structural model:
```
20
Lattice="5.4322 0.0000 0.0000 0.0000 5.4255 0.0000 -5.3472 0.0000 7.6005" Properties=species:S:1:pos:R:3 pbc="T T T"
La 0.0000 1.1346 0.0000
La -2.6736 4.2909 3.8002
Zn 0.0809 1.5270 3.7064
Zn -2.5928 3.8985 7.5066
Cr 2.8064 1.4245 1.8822
Cr 0.1328 4.0009 5.6824
Cu -2.6102 1.3937 5.7220
Cu 0.0634 4.0318 1.9218
O -1.9656 1.2005 3.8122
O 0.7080 4.2249 0.0120
O 2.2960 1.7491 0.0361
O -0.3776 3.6764 3.8364
O 0.9983 0.2515 2.3272
O -1.6753 5.1740 6.1275
O 1.5906 2.6145 2.4554
O -1.0830 2.8110 6.2557
O 0.8392 0.2371 5.2547
O 3.5128 5.1884 1.4545
O 4.2591 2.5170 1.5753
O 1.5855 2.9085 5.3756
```

***

# 5
Starting from the GGA+U geometry in the Materials Project, the X-ray diffraction stick pattern of V4Ge13O36 was computed for Cu Kα (λ = 1.5418 Å).
Neutral-atom scattering factors, no anomalous dispersion.

Principal peaks in the range 2θ from 10° to 90°, in order of falling intensity:
2θ (°)  I/Imax
27.85  100.0
36.61  61.1
26.75  59.6
37.11  54.2
28.38  46.5
54.64  31.8
64.08  27.1
54.48  26.9

Structural model:
```
53
Lattice="4.5925 0.0000 0.0000 0.0000 2.9052 0.0000 -0.7350 0.0000 39.5210" Properties=species:S:1:pos:R:3 pbc="T T T"
V 0.0163 0.0000 15.9260
V 0.6905 1.4526 21.4845
V 3.1670 1.4526 18.0365
V 3.8412 0.0000 23.5949
Ge -0.0120 0.0000 2.2855
Ge -0.0122 0.0000 6.8400
Ge 0.0184 0.0000 11.3571
Ge 1.5023 1.4526 25.9128
Ge 1.5574 1.4526 30.4160
Ge 1.5757 1.4526 34.9567
Ge 2.2963 1.4526 0.0000
Ge 2.2818 1.4526 4.5643
Ge 2.3000 1.4526 9.1050
Ge 2.3551 1.4526 13.6082
Ge 3.8391 0.0000 28.1639
Ge 3.8697 0.0000 32.6810
Ge 3.8695 0.0000 37.2355
O 0.3020 1.4526 17.6006
O 0.1385 1.4526 27.3415
O 0.2878 0.0000 20.0691
O 0.1543 1.4526 31.8316
O 0.1514 1.4526 36.3746
O 0.8664 1.4526 1.4115
O 0.4959 0.0000 25.2008
O 0.8602 1.4526 5.9680
O 0.6509 1.4526 23.3222
O 0.9172 1.4526 10.5185
O 0.6651 0.0000 29.5628
O 1.0071 1.4526 15.0976
O 0.7035 0.0000 34.0862
O 0.6871 0.0000 38.6503
O 1.4006 0.0000 3.6919
O 1.3996 0.0000 8.2486
O 1.4200 0.0000 12.7995
O 1.7624 0.0000 21.6690
O 2.0951 0.0000 17.8519
O 2.4374 0.0000 26.7215
O 2.4579 0.0000 31.2724
O 2.4568 0.0000 35.8291
O 3.1704 0.0000 0.8707
O 3.1540 0.0000 5.4348
O 2.8503 1.4526 24.4234
O 3.1923 0.0000 9.9581
O 2.9403 1.4526 29.0025
O 3.2065 1.4526 16.1987
O 2.9972 1.4526 33.5530
O 3.3615 0.0000 14.3202
O 2.9910 1.4526 38.1095
O 3.7060 1.4526 3.1463
O 3.7031 1.4526 7.6894
O 3.5697 0.0000 19.4518
O 3.7189 1.4526 12.1795
O 3.5554 1.4526 21.9204
```

***

# 6
Starting from the GGA+U geometry in the Materials Project, the X-ray diffraction stick pattern of Mn2ZnO4 was computed for Cu Kα (λ = 1.5418 Å).
Neutral-atom scattering factors, no anomalous dispersion.

Principal peaks in the range 2θ from 10° to 90°, in order of falling intensity:
2θ (°)  I/Imax
34.18  100.0
24.16  93.9
49.58  90.8
38.50  70.9
17.20  70.7
34.64  68.6
49.94  58.0
61.81  51.5

Structural model:
```
28
Lattice="6.0879 0.0000 0.0000 0.0000 10.3083 0.0000 0.0000 0.0000 5.1762" Properties=species:S:1:pos:R:3 pbc="T T T"
Mn 0.0000 0.0000 0.0000
Mn 0.0000 5.1542 0.0000
Mn 1.5220 0.1461 2.5205
Mn 1.5220 5.0081 2.5205
Mn 3.0440 0.0000 0.0000
Mn 3.0440 5.1542 0.0000
Mn 4.5660 5.3002 2.6557
Mn 4.5660 10.1622 2.6557
Zn 1.5220 2.5771 4.3259
Zn 1.5220 7.7312 2.6180
Zn 4.5660 2.5771 2.5583
Zn 4.5660 7.7312 0.8503
O 0.0090 1.1628 3.5615
O 0.0090 3.9913 3.5615
O 1.5220 1.0122 0.7370
O 1.5220 4.1419 0.7370
O 1.5220 6.2077 3.9590
O 1.5220 9.2547 3.9590
O 3.0350 1.1628 3.5615
O 3.0350 3.9913 3.5615
O 3.0529 6.3170 1.6148
O 3.0529 9.1455 1.6148
O 4.5660 1.0536 1.2172
O 4.5660 4.1006 1.2172
O 4.5660 6.1664 4.4393
O 4.5660 9.2961 4.4393
O 6.0790 6.3170 1.6148
O 6.0790 9.1455 1.6148
```

***

# 7
Starting from the GGA+U geometry in the Materials Project, the X-ray diffraction stick pattern of Hg2W2O7 was computed for Cu Kα (λ = 1.5418 Å).
Neutral-atom scattering factors, no anomalous dispersion.

Principal peaks in the range 2θ from 10° to 90°, in order of falling intensity:
2θ (°)  I/Imax
25.01  100.0
26.08  72.2
27.30  66.3
32.33  48.3
31.84  45.9
28.82  44.3
43.07  33.7
16.40  30.1

Structural model:
```
22
Lattice="7.2837 0.0000 0.0000 -3.3985 6.5845 0.0000 -0.1666 -4.1871 7.2824" Properties=species:S:1:pos:R:3 pbc="T T T"
Hg -0.1031 1.4513 0.8824
Hg 1.5586 -2.3731 6.3627
Hg 2.1600 4.7705 0.9197
Hg 3.8217 0.9461 6.4000
W -0.4537 0.5496 4.4989
W 2.3068 -1.4274 2.7285
W 1.4118 3.8248 4.5539
W 4.1723 1.8478 2.7835
O -2.1133 1.6008 4.8193
O -1.9057 3.4539 2.5990
O 0.7374 -0.6738 3.5853
O -1.3678 5.6888 1.0631
O 0.1503 0.4138 6.1538
O 0.5364 2.0826 4.0146
O 2.9800 -2.0340 4.7658
O 0.7386 4.4314 2.5166
O 3.1822 0.3148 3.2678
O 3.5684 1.9836 1.1286
O 5.0865 -3.2914 6.2193
O 2.9813 3.0712 3.6971
O 5.6244 -1.0565 4.6834
O 5.8319 0.7966 2.4631
```

***

Copy entry 6 word for word.
Starting from the GGA+U geometry in the Materials Project, the X-ray diffraction stick pattern of Mn2ZnO4 was computed for Cu Kα (λ = 1.5418 Å).
Neutral-atom scattering factors, no anomalous dispersion.

Principal peaks in the range 2θ from 10° to 90°, in order of falling intensity:
2θ (°)  I/Imax
34.18  100.0
24.16  93.9
49.58  90.8
38.50  70.9
17.20  70.7
34.64  68.6
49.94  58.0
61.81  51.5

Structural model:
```
28
Lattice="6.0879 0.0000 0.0000 0.0000 10.3083 0.0000 0.0000 0.0000 5.1762" Properties=species:S:1:pos:R:3 pbc="T T T"
Mn 0.0000 0.0000 0.0000
Mn 0.0000 5.1542 0.0000
Mn 1.5220 0.1461 2.5205
Mn 1.5220 5.0081 2.5205
Mn 3.0440 0.0000 0.0000
Mn 3.0440 5.1542 0.0000
Mn 4.5660 5.3002 2.6557
Mn 4.5660 10.1622 2.6557
Zn 1.5220 2.5771 4.3259
Zn 1.5220 7.7312 2.6180
Zn 4.5660 2.5771 2.5583
Zn 4.5660 7.7312 0.8503
O 0.0090 1.1628 3.5615
O 0.0090 3.9913 3.5615
O 1.5220 1.0122 0.7370
O 1.5220 4.1419 0.7370
O 1.5220 6.2077 3.9590
O 1.5220 9.2547 3.9590
O 3.0350 1.1628 3.5615
O 3.0350 3.9913 3.5615
O 3.0529 6.3170 1.6148
O 3.0529 9.1455 1.6148
O 4.5660 1.0536 1.2172
O 4.5660 4.1006 1.2172
O 4.5660 6.1664 4.4393
O 4.5660 9.2961 4.4393
O 6.0790 6.3170 1.6148
O 6.0790 9.1455 1.6148
```